Starting from a crystal structure in Alexandria, relaxed with PBE, the XRD peak list of PmNdNi was calculated for Cu Kα X-rays.
Intensities are scaled so that the largest is 100.

Structure:
a b c (Å): 3.5119 3.5119 12.8588
angles (deg): 90.00 90.00 90.00
Atoms (fractional coordinates):
Pm 0.0000 0.0000 0.0000
Pm 0.5000 0.5000 0.5000
Nd 0.0000 0.0000 0.7416
Nd 0.5000 0.5000 0.2416
Ni 0.0000 0.0000 0.3741
Ni 0.5000 0.5000 0.8741

Top 8 peaks for 2θ from 10° to 90°, in order of rising 2θ:
2θ/deg, Rel. int.
26.3, 39
27.8, 24
33.0, 100
36.2, 60
43.6, 33
46.2, 24
52.1, 21
63.0, 30

Starting from a crystal structure in Alexandria, relaxed with PBE, the XRD peak list of PmNdNi was calculated for Cu Kα X-rays.
Intensities are scaled so that the largest is 100.

Structure:
a b c (Å): 12.5506 3.7925 8.2582
angles (deg): 90.00 126.60 90.00
Atoms (fractional coordinates):
Pm 0.0000 0.0000 0.0000
Pm 0.0827 0.5000 0.6888
Pm 0.5000 0.5000 0.0000
Pm 0.5827 0.0000 0.6888
Nd 0.2579 0.5000 0.4636
Nd 0.3375 0.0000 0.1507
Nd 0.7579 0.0000 0.4636
Nd 0.8375 0.5000 0.1507
Ni 0.0456 0.0000 0.3973
Ni 0.2935 0.0000 0.7560
Ni 0.5456 0.5000 0.3973
Ni 0.7935 0.5000 0.7560

Top 8 peaks for 2θ from 10° to 90°, in order of rising 2θ:
2θ/deg, Rel. int.
27.9, 42
29.0, 51
31.0, 47
31.9, 100
32.9, 59
33.2, 50
35.7, 62
41.0, 37

Starting from a crystal structure in Alexandria, relaxed with PBE, the XRD peak list of PrNd3Ni8 was calculated for Cu Kα X-rays.
Intensities are scaled so that the largest is 100.

Structure:
a b c (Å): 8.9823 8.9823 8.9823
angles (deg): 33.51 33.51 33.51
Atoms (fractional coordinates):
Pr 0.0000 0.0000 0.0000
Nd 0.1251 0.1251 0.1251
Nd 0.4999 0.4999 0.4999
Nd 0.6248 0.6248 0.6248
Ni 0.0624 0.0624 0.5617
Ni 0.0624 0.5617 0.0624
Ni 0.0627 0.5627 0.5627
Ni 0.3124 0.3124 0.3124
Ni 0.5617 0.0624 0.0624
Ni 0.5627 0.0627 0.5627
Ni 0.5627 0.5627 0.0627
Ni 0.8124 0.8124 0.8124

Top 8 peaks for 2θ from 10° to 90°, in order of rising 2θ:
2θ/deg, Rel. int.
21.0, 8
34.6, 59
40.8, 100
42.7, 18
62.0, 22
66.3, 30
73.0, 23
83.4, 9

Starting from a crystal structure in Alexandria, relaxed with PBE, the XRD peak list of Pr2NdNi9 was calculated for Cu Kα X-rays.
Intensities are scaled so that the largest is 100.

Structure:
a b c (Å): 8.8006 8.8006 8.8006
angles (deg): 33.35 33.35 33.35
Atoms (fractional coordinates):
Pr 0.1385 0.1385 0.1385
Pr 0.8615 0.8615 0.8615
Nd 0.0000 0.0000 0.0000
Ni 0.0815 0.5796 0.5796
Ni 0.3327 0.3327 0.3327
Ni 0.4204 0.4204 0.9185
Ni 0.4204 0.9185 0.4204
Ni 0.5000 0.5000 0.5000
Ni 0.5796 0.0815 0.5796
Ni 0.5796 0.5796 0.0815
Ni 0.6673 0.6673 0.6673
Ni 0.9185 0.4204 0.4204

Top 8 peaks for 2θ from 10° to 90°, in order of rising 2θ:
2θ/deg, Rel. int.
32.4, 44
35.4, 38
35.6, 47
41.5, 36
41.9, 100
45.3, 16
68.2, 20
75.3, 20

Starting from a crystal structure in Alexandria, relaxed with PBE, the XRD peak list of PrNdSi2Ni2 was calculated for Cu Kα X-rays.
Intensities are scaled so that the largest is 100.

Structure:
a b c (Å): 4.0191 4.0191 8.5326
angles (deg): 90.00 90.00 120.00
Atoms (fractional coordinates):
Pr 0.0000 0.0000 0.0000
Nd 0.0000 0.0000 0.5000
Si 0.3333 0.6667 0.7483
Si 0.6667 0.3333 0.2517
Ni 0.3333 0.6667 0.2522
Ni 0.6667 0.3333 0.7478

Top 8 peaks for 2θ from 10° to 90°, in order of rising 2θ:
2θ/deg, Rel. int.
25.6, 25
33.2, 100
42.4, 13
45.1, 33
57.2, 21
63.6, 23
71.7, 13
75.6, 18

Starting from a crystal structure in Alexandria, relaxed with PBE, the XRD peak list of PrNdZnNi was calculated for Cu Kα X-rays.
Intensities are scaled so that the largest is 100.

Structure:
a b c (Å): 4.4947 3.9274 11.0324
angles (deg): 90.00 90.00 90.00
Atoms (fractional coordinates):
Pr 0.0000 0.0000 0.0000
Pr 0.0000 0.5000 0.5000
Nd 0.5000 0.0000 0.2793
Nd 0.5000 0.5000 0.7793
Zn 0.5000 0.0000 0.5718
Zn 0.5000 0.5000 0.0718
Ni 0.0000 0.0000 0.6966
Ni 0.0000 0.5000 0.1966

Top 8 peaks for 2θ from 10° to 90°, in order of rising 2θ:
2θ/deg, Rel. int.
25.6, 38
31.3, 100
32.5, 22
33.4, 52
38.3, 22
39.1, 52
40.1, 31
53.2, 27

Starting from a crystal structure in Alexandria, relaxed with PBE, the XRD peak list of Nd4NiPt3 was calculated for Cu Kα X-rays.
Intensities are scaled so that the largest is 100.

Structure:
a b c (Å): 3.9280 4.5137 10.8153
angles (deg): 90.00 90.00 90.00
Atoms (fractional coordinates):
Nd 0.0000 0.0000 0.0000
Nd 0.0000 0.5000 0.2714
Nd 0.5000 0.0000 0.4936
Nd 0.5000 0.5000 0.7736
Ni 0.5000 0.0000 0.2127
Pt 0.0000 0.0000 0.7231
Pt 0.0000 0.5000 0.5465
Pt 0.5000 0.5000 0.0580

Top 8 peaks for 2θ from 10° to 90°, in order of rising 2θ:
2θ/deg, Rel. int.
31.3, 100
33.1, 28
33.7, 18
38.8, 25
39.4, 80
39.9, 32
46.2, 21
62.7, 17

Starting from a crystal structure in Alexandria, relaxed with PBE, the XRD peak list of NdNi2Pt6 was calculated for Cu Kα X-rays.
Intensities are scaled so that the largest is 100.

Structure:
a b c (Å): 7.9563 7.9563 7.9563
angles (deg): 60.00 60.00 60.00
Atoms (fractional coordinates):
Nd 0.1250 0.1250 0.1250
Nd 0.8750 0.8750 0.8750
Ni 0.0000 0.5000 0.5000
Ni 0.5000 0.0000 0.5000
Ni 0.5000 0.5000 0.0000
Ni 0.5000 0.5000 0.5000
Pt 0.1274 0.1274 0.6226
Pt 0.1274 0.6226 0.1274
Pt 0.1274 0.6226 0.6226
Pt 0.3774 0.3774 0.8726
Pt 0.3774 0.8726 0.3774
Pt 0.3774 0.8726 0.8726
Pt 0.6226 0.1274 0.1274
Pt 0.6226 0.1274 0.6226
Pt 0.6226 0.6226 0.1274
Pt 0.8726 0.3774 0.3774
Pt 0.8726 0.3774 0.8726
Pt 0.8726 0.8726 0.3774

Top 8 peaks for 2θ from 10° to 90°, in order of rising 2θ:
2θ/deg, Rel. int.
22.3, 18
26.3, 13
31.8, 89
45.6, 100
56.7, 24
66.5, 16
75.6, 31
84.3, 34

Starting from a crystal structure in Alexandria, relaxed with PBE, the XRD peak list of Nd2SiNiPt6 was calculated for Cu Kα X-rays.
Intensities are scaled so that the largest is 100.

Structure:
a b c (Å): 6.4608 6.4608 8.2185
angles (deg): 127.23 127.23 50.13
Atoms (fractional coordinates):
Nd 0.2335 0.2335 0.1986
Nd 0.7665 0.7665 0.8014
Si 0.0000 0.0000 0.5000
Ni 0.5000 0.5000 0.0000
Pt 0.2488 0.7412 0.2552
Pt 0.2505 0.2505 0.6103
Pt 0.2588 0.7512 0.7448
Pt 0.7412 0.2488 0.2552
Pt 0.7495 0.7495 0.3897
Pt 0.7512 0.2588 0.7448

Top 8 peaks for 2θ from 10° to 90°, in order of rising 2θ:
2θ/deg, Rel. int.
21.6, 27
28.7, 35
29.2, 41
29.4, 28
30.6, 39
38.9, 100
39.6, 58
41.5, 53

Starting from a crystal structure in Alexandria, relaxed with PBE, the XRD peak list of NdNiSnPt3 was calculated for Cu Kα X-rays.
Intensities are scaled so that the largest is 100.

Structure:
a b c (Å): 6.4078 6.4078 7.5055
angles (deg): 90.00 90.00 127.56
Atoms (fractional coordinates):
Nd 0.1809 0.8191 0.7500
Nd 0.8191 0.1809 0.2500
Ni 0.4167 0.5833 0.7500
Ni 0.5833 0.4167 0.2500
Sn 0.1249 0.8751 0.2500
Sn 0.8751 0.1249 0.7500
Pt 0.2544 0.2544 0.0000
Pt 0.2544 0.2544 0.5000
Pt 0.3525 0.6475 0.2500
Pt 0.6475 0.3525 0.7500
Pt 0.7456 0.7456 0.0000
Pt 0.7456 0.7456 0.5000

Top 8 peaks for 2θ from 10° to 90°, in order of rising 2θ:
2θ/deg, Rel. int.
15.4, 46
28.4, 74
35.3, 42
39.5, 66
39.9, 100
44.9, 46
48.5, 29
68.3, 28

Starting from a crystal structure in Alexandria, relaxed with PBE, the XRD peak list of Nd3Ni2Ru was calculated for Cu Kα X-rays.
Intensities are scaled so that the largest is 100.

Structure:
a b c (Å): 11.3542 4.1785 11.6481
angles (deg): 90.00 90.00 90.00
Atoms (fractional coordinates):
Nd 0.0532 0.2500 0.1220
Nd 0.1211 0.7500 0.5549
Nd 0.2078 0.2500 0.7914
Nd 0.2922 0.7500 0.2914
Nd 0.3789 0.2500 0.0549
Nd 0.4468 0.7500 0.6220
Nd 0.5532 0.2500 0.3780
Nd 0.6211 0.7500 0.9451
Nd 0.7078 0.2500 0.7086
Nd 0.7922 0.7500 0.2086
Nd 0.8789 0.2500 0.4451
Nd 0.9468 0.7500 0.8780
Ni 0.0265 0.7500 0.3099
Ni 0.1893 0.7500 0.9933
Ni 0.3107 0.2500 0.4933
Ni 0.4735 0.2500 0.8099
Ni 0.5265 0.7500 0.1901
Ni 0.6893 0.7500 0.5067
Ni 0.8107 0.2500 0.0067
Ni 0.9735 0.2500 0.6901
Ru 0.1347 0.2500 0.3655
Ru 0.3653 0.7500 0.8655
Ru 0.6347 0.2500 0.1345
Ru 0.8653 0.7500 0.6345

Top 8 peaks for 2θ from 10° to 90°, in order of rising 2θ:
2θ/deg, Rel. int.
30.7, 53
31.5, 100
31.7, 30
32.5, 34
35.5, 73
39.1, 27
41.0, 26
43.3, 49

Starting from a crystal structure in Alexandria, relaxed with PBE, the XRD peak list of Nd2Ni15Ru2 was calculated for Cu Kα X-rays.
Intensities are scaled so that the largest is 100.

Structure:
a b c (Å): 6.3630 6.3630 6.3630
angles (deg): 82.53 82.53 82.53
Atoms (fractional coordinates):
Nd 0.1559 0.1559 0.1559
Nd 0.8441 0.8441 0.8441
Ni 0.0000 0.5000 0.5000
Ni 0.1578 0.1578 0.6547
Ni 0.1578 0.6547 0.1578
Ni 0.2043 0.5000 0.7957
Ni 0.2043 0.7957 0.5000
Ni 0.3453 0.8422 0.8422
Ni 0.5000 0.0000 0.5000
Ni 0.5000 0.2043 0.7957
Ni 0.5000 0.5000 0.0000
Ni 0.5000 0.7957 0.2043
Ni 0.6547 0.1578 0.1578
Ni 0.7957 0.2043 0.5000
Ni 0.7957 0.5000 0.2043
Ni 0.8422 0.3453 0.8422
Ni 0.8422 0.8422 0.3453
Ru 0.4038 0.4038 0.4038
Ru 0.5962 0.5962 0.5962

Top 8 peaks for 2θ from 10° to 90°, in order of rising 2θ:
2θ/deg, Rel. int.
30.4, 28
37.1, 54
38.2, 35
43.1, 75
43.3, 100
43.9, 30
44.1, 24
48.7, 31